Starting from a structure optimized by DFT (PBE+U), the PXRD pattern of LiCo2B2O6 was computed for Cu Ka.
Intensities are scaled so that the largest is 100.

Cell and atoms:
Cell lengths 5.1346, 5.2166, 5.8173 Å; angles 66.14, 64.85, 60.61 degrees
Fractional coordinates of all 11 atoms:
1 Li 0.0000 0.0000 0.0000
2 Co 0.3643 0.3334 0.9272
3 Co 0.8357 0.5512 0.4306
4 B 0.5076 0.2011 0.4339
5 B 0.6877 0.6720 0.9453
6 O 0.2514 0.2614 0.3706
7 O 0.4183 0.9207 0.9599
8 O 0.5212 0.4036 0.5224
9 O 0.7357 0.4332 0.8570
10 O 0.7729 0.9411 0.3894
11 O 0.9302 0.6392 0.0232

The 8 most intense peaks (2θ = 15–90°), in order of rising 2θ:
two_theta	d/Å	I (rel.)	index
20.17	4.403	100	0 1 0
20.92	4.245	38	1 1 1
22.70	3.918	62	1 1 0
22.99	3.869	88	1 0 1
34.38	2.609	56	1 -1 0
34.95	2.567	29	2 1 1
35.19	2.551	91	0 0 2
54.85	1.674	32	2 3 1